[1]
For Ba2Ca3TlCu4O11, a structure optimized by DFT (GGA-PBE) gives the simulated powder X-ray diffraction pattern in this record (Cu Kα X-rays).
Lines closer than 0.1° are merged.

Largest 10 diffraction maxima, by angle, 2θ = 5–70°:
(hkl)  2θ (°)  I/Imax
1 3 0  26.9  64
1 4 0  29.6  93
0 7 0  32.3  30
1 5 0  32.7  78
1 0 1  32.8  100
1 1 1  33.2  23
0 6 1  36.2  37
1 7 1  46.7  22
0 0 2  47.0  28
2 0 0  47.2  34

```
data_Ba2Ca3TlCu4O11
_chemical_formula_sum 'Ba2 Ca3 Tl1 Cu4 O11'
_symmetry_space_group_name_H-M 'P m m 2'
_symmetry_Int_Tables_number 25
_symmetry_space_group_name_Hall 'P 2 -2'
_cell_length_a 3.8493
_cell_length_b 19.4205
_cell_length_c 3.8650
_cell_angle_alpha 90.00
_cell_angle_beta 90.00
_cell_angle_gamma 90.00
loop_
_atom_site_label
_atom_site_fract_x
_atom_site_fract_y
_atom_site_fract_z
Ba1 0.0000 0.1383 0.0000
Ca1 0.0000 0.3289 0.9999
Ca2 0.0000 0.5000 0.9988
Tl1 0.5000 0.0000 0.5657
Cu1 0.5000 0.2453 0.4995
Cu2 0.5000 0.4166 0.4988
O1 0.0000 0.0000 0.9112
O2 0.0000 0.2557 0.5007
O3 0.0000 0.4185 0.4989
O4 0.5000 0.1096 0.4871
O5 0.5000 0.2549 0.9997
O6 0.5000 0.4181 0.9988
```

[2]
For Ba2Ca4TlCu5O13, a structure optimized by DFT (GGA-PBE) gives the simulated powder X-ray diffraction pattern in this record (Cu Kα X-rays).
Lines closer than 0.1° are merged.

Largest 10 diffraction maxima, by angle, 2θ = 5–70°:
(hkl)  2θ (°)  I/Imax
0 3 1  25.9  37
1 4 0  28.0  66
1 5 0  30.4  77
0 8 0  31.6  25
1 0 1  32.8  100
1 1 1  33.0  21
1 6 0  33.2  59
0 7 1  36.2  50
0 0 2  47.0  31
2 0 0  47.2  36

```
data_Ba2Ca4TlCu5O13
_chemical_formula_sum 'Ba2 Ca4 Tl1 Cu5 O13'
_symmetry_space_group_name_H-M 'P m m 2'
_symmetry_Int_Tables_number 25
_symmetry_space_group_name_Hall 'P 2 -2'
_cell_length_a 3.8537
_cell_length_b 22.6239
_cell_length_c 3.8683
_cell_angle_alpha 90.00
_cell_angle_beta 90.00
_cell_angle_gamma 90.00
loop_
_atom_site_label
_atom_site_fract_x
_atom_site_fract_y
_atom_site_fract_z
Ba1 0.0000 0.1185 0.0000
Ca1 0.0000 0.2814 0.9990
Ca2 0.0000 0.4277 0.9969
Tl1 0.5000 0.0000 0.5660
Cu1 0.5000 0.2104 0.4987
Cu2 0.5000 0.3570 0.4974
Cu3 0.5000 0.5000 0.4963
O1 0.0000 0.0000 0.9108
O2 0.0000 0.2194 0.4999
O3 0.0000 0.3596 0.4974
O4 0.0000 0.5000 0.4966
O5 0.5000 0.0941 0.4870
O6 0.5000 0.2187 0.9989
O7 0.5000 0.3590 0.9974
O8 0.5000 0.5000 0.9964
```

[3]
For Ba2CaTlCu2O7, a structure optimized by DFT (GGA-PBE) gives the simulated powder X-ray diffraction pattern in this record (Cu Kα X-rays).
Lines closer than 0.1° are merged.

Largest 10 diffraction maxima, by angle, 2θ = 5–70°:
(hkl)  2θ (°)  I/Imax
0 0 1  6.8  37
1 0 2  27.0  68
1 0 3  31.1  100
1 1 0  33.0  70
0 0 5  34.5  26
2 0 0  47.4  36
1 1 5  48.5  26
2 1 2  55.4  20
2 1 3  57.8  35
2 0 5  59.9  20

```
data_Ba2CaTlCu2O7
_chemical_formula_sum 'Ba2 Ca1 Tl1 Cu2 O7'
_symmetry_space_group_name_H-M 'P 4/m m m'
_symmetry_Int_Tables_number 123
_symmetry_space_group_name_Hall '-P 4 2'
_cell_length_a 3.8343
_cell_length_b 3.8343
_cell_length_c 13.0054
_cell_angle_alpha 90.00
_cell_angle_beta 90.00
_cell_angle_gamma 90.00
loop_
_atom_site_label
_atom_site_fract_x
_atom_site_fract_y
_atom_site_fract_z
Ba1 0.0000 0.0000 0.2080
Ca1 0.0000 0.0000 0.5000
Tl1 0.5000 0.5000 0.0000
Cu1 0.5000 0.5000 0.3670
O1 0.0000 0.0000 0.0000
O2 0.0000 0.5000 0.3806
O3 0.5000 0.5000 0.1622
```

What did the third record say?
For Ba2CaTlCu2O7, a structure optimized by DFT (GGA-PBE) gives the simulated powder X-ray diffraction pattern in this record (Cu Kα X-rays).
Lines closer than 0.1° are merged.

Largest 10 diffraction maxima, by angle, 2θ = 5–70°:
(hkl)  2θ (°)  I/Imax
0 0 1  6.8  37
1 0 2  27.0  68
1 0 3  31.1  100
1 1 0  33.0  70
0 0 5  34.5  26
2 0 0  47.4  36
1 1 5  48.5  26
2 1 2  55.4  20
2 1 3  57.8  35
2 0 5  59.9  20

```
data_Ba2CaTlCu2O7
_chemical_formula_sum 'Ba2 Ca1 Tl1 Cu2 O7'
_symmetry_space_group_name_H-M 'P 4/m m m'
_symmetry_Int_Tables_number 123
_symmetry_space_group_name_Hall '-P 4 2'
_cell_length_a 3.8343
_cell_length_b 3.8343
_cell_length_c 13.0054
_cell_angle_alpha 90.00
_cell_angle_beta 90.00
_cell_angle_gamma 90.00
loop_
_atom_site_label
_atom_site_fract_x
_atom_site_fract_y
_atom_site_fract_z
Ba1 0.0000 0.0000 0.2080
Ca1 0.0000 0.0000 0.5000
Tl1 0.5000 0.5000 0.0000
Cu1 0.5000 0.5000 0.3670
O1 0.0000 0.0000 0.0000
O2 0.0000 0.5000 0.3806
O3 0.5000 0.5000 0.1622
```